This entry pairs a crystal structure of La2SiBRh6 with its computed powder diffraction line list. Radiation: Cu Kα. Structure: a crystal structure in Alexandria, relaxed with PBE.
No peak broadening, texture or thermal motion is included.

Structural model:
a = 6.2341 Å, b = 8.8180 Å, c = 6.2305 Å
α = 90.00°, β = 90.00°, γ = 90.00°
Space group Pmmn (No. 59, origin choice 2)
Symmetry-distinct sites (fractional):
La: 0.2500 0.0001 0.2500 x4
Si: 0.2500 0.2500 0.7493 x2
B: 0.2500 0.7500 0.7506 x2
Rh: 0.0122 0.7500 0.9881 x4
Rh: 0.0127 0.7500 0.5124 x4
Rh: 0.2500 0.5123 0.7502 x4

Principal peaks in the range 10 to 80 degrees two-theta, by angle:
| 2θ/deg | I_rel | index |
| --- | --- | --- |
| 17.42 | 6 | 1 1 0 |
| 28.64 | 38 | 2 0 0 |
| 35.27 | 1000 | 2 2 0 |
| 40.95 | 576 | 2 0 2 |
| 44.82 | 21 | 3 1 0 |
| 50.74 | 12 | 2 4 0 |
| 54.06 | 20 | 3 3 0 |
| 59.30 | 372 | 2 4 2 |
| 67.16 | 9 | 4 0 2 |
| 70.91 | 363 | 4 2 2 |
| 74.59 | 122 | 0 4 4 |
| 77.30 | 13 | 5 1 0 |

---

This entry pairs a crystal structure of La4SnB3Rh12 with its computed powder diffraction line list. Radiation: Cu Kα. Structure: a crystal structure in Alexandria, relaxed with PBE.
No peak broadening, texture or thermal motion is included.

Structural model:
a = 8.8640 Å, b = 8.8640 Å, c = 8.8640 Å
α = 90.00°, β = 90.00°, γ = 90.00°
Space group Im-3m (No. 229)
Symmetry-distinct sites (fractional):
La: 0.2500 0.2500 0.2500 x8
Sn: 0.0000 0.0000 0.0000 x2
B: 0.0000 0.0000 0.5000 x6
Rh: 0.0000 0.0000 0.2805 x12
Rh: 0.0000 0.2500 0.5000 x12

Principal peaks in the range 10 to 80 degrees two-theta, by angle:
| 2θ/deg | I_rel | index |
| --- | --- | --- |
| 28.48 | 89 | 2 2 0 |
| 31.93 | 52 | 3 1 0 |
| 35.07 | 1000 | 2 2 2 |
| 37.98 | 76 | 3 2 1 |
| 40.72 | 677 | 4 0 0 |
| 43.31 | 38 | 3 3 0 |
| 48.15 | 60 | 3 3 2 |
| 58.94 | 422 | 4 4 0 |
| 66.74 | 30 | 6 2 0 |
| 70.47 | 329 | 6 2 2 |
| 74.11 | 132 | 4 4 4 |
| 79.45 | 47 | 6 3 3 |

---

This entry pairs a crystal structure of LaB4Ru with its computed powder diffraction line list. Radiation: Cu Kα. Structure: a crystal structure in Alexandria, relaxed with PBE.
No peak broadening, texture or thermal motion is included.

Structural model:
a = 6.1157 Å, b = 11.8499 Å, c = 3.6926 Å
α = 90.00°, β = 90.00°, γ = 90.00°
Space group Pbam (No. 55)
Symmetry-distinct sites (fractional):
La: 0.1263 0.1505 0.0000 x4
B: 0.0233 0.6869 0.5000 x4
B: 0.1093 0.5447 0.5000 x4
B: 0.1423 0.9685 0.5000 x4
B: 0.2204 0.8180 0.5000 x4
Ru: 0.1374 0.4089 0.0000 x4

Principal peaks in the range 10 to 80 degrees two-theta, by angle:
| 2θ/deg | I_rel | index |
| --- | --- | --- |
| 24.10 | 769 | 0 0 1 |
| 26.87 | 160 | 1 3 0 |
| 30.18 | 823 | 0 4 0 |
| 33.61 | 194 | 1 4 0 |
| 36.40 | 196 | 1 3 1 |
| 37.18 | 214 | 2 3 0 |
| 38.99 | 1000 | 0 4 1 |
| 41.79 | 265 | 1 4 1 |
| 44.80 | 315 | 2 3 1 |
| 49.36 | 192 | 0 0 2 |
| 58.95 | 248 | 0 4 2 |
| 60.56 | 128 | 4 0 0 |

---

Please write out number 3 again, unchanged.
This entry pairs a crystal structure of LaB4Ru with its computed powder diffraction line list. Radiation: Cu Kα. Structure: a crystal structure in Alexandria, relaxed with PBE.
No peak broadening, texture or thermal motion is included.

Structural model:
a = 6.1157 Å, b = 11.8499 Å, c = 3.6926 Å
α = 90.00°, β = 90.00°, γ = 90.00°
Space group Pbam (No. 55)
Symmetry-distinct sites (fractional):
La: 0.1263 0.1505 0.0000 x4
B: 0.0233 0.6869 0.5000 x4
B: 0.1093 0.5447 0.5000 x4
B: 0.1423 0.9685 0.5000 x4
B: 0.2204 0.8180 0.5000 x4
Ru: 0.1374 0.4089 0.0000 x4

Principal peaks in the range 10 to 80 degrees two-theta, by angle:
| 2θ/deg | I_rel | index |
| --- | --- | --- |
| 24.10 | 769 | 0 0 1 |
| 26.87 | 160 | 1 3 0 |
| 30.18 | 823 | 0 4 0 |
| 33.61 | 194 | 1 4 0 |
| 36.40 | 196 | 1 3 1 |
| 37.18 | 214 | 2 3 0 |
| 38.99 | 1000 | 0 4 1 |
| 41.79 | 265 | 1 4 1 |
| 44.80 | 315 | 2 3 1 |
| 49.36 | 192 | 0 0 2 |
| 58.95 | 248 | 0 4 2 |
| 60.56 | 128 | 4 0 0 |

---

Please write out number 2 again, unchanged.
This entry pairs a crystal structure of La4SnB3Rh12 with its computed powder diffraction line list. Radiation: Cu Kα. Structure: a crystal structure in Alexandria, relaxed with PBE.
No peak broadening, texture or thermal motion is included.

Structural model:
a = 8.8640 Å, b = 8.8640 Å, c = 8.8640 Å
α = 90.00°, β = 90.00°, γ = 90.00°
Space group Im-3m (No. 229)
Symmetry-distinct sites (fractional):
La: 0.2500 0.2500 0.2500 x8
Sn: 0.0000 0.0000 0.0000 x2
B: 0.0000 0.0000 0.5000 x6
Rh: 0.0000 0.0000 0.2805 x12
Rh: 0.0000 0.2500 0.5000 x12

Principal peaks in the range 10 to 80 degrees two-theta, by angle:
| 2θ/deg | I_rel | index |
| --- | --- | --- |
| 28.48 | 89 | 2 2 0 |
| 31.93 | 52 | 3 1 0 |
| 35.07 | 1000 | 2 2 2 |
| 37.98 | 76 | 3 2 1 |
| 40.72 | 677 | 4 0 0 |
| 43.31 | 38 | 3 3 0 |
| 48.15 | 60 | 3 3 2 |
| 58.94 | 422 | 4 4 0 |
| 66.74 | 30 | 6 2 0 |
| 70.47 | 329 | 6 2 2 |
| 74.11 | 132 | 4 4 4 |
| 79.45 | 47 | 6 3 3 |

---

What is the formula in the third record?
LaB4Ru